No. 1
Computed X-ray powder pattern
Compound: Nd7Ni3
Radiation: Cu Kα
Structure: a cell relaxed with PBE

Crystal structure
```
20
Lattice="9.9080 0.0000 0.0000 -4.9540 8.5806 0.0000 0.0000 0.0000 6.3535" Properties=species:S:1:pos:R:3 pbc="T T T"
Nd -1.9029 4.6218 0.0000
Nd 0.0000 2.1621 4.3835
Nd -3.0816 7.4996 4.3835
Nd 1.8724 1.0810 1.2068
Nd 0.0000 5.7204 3.0511
Nd 1.9029 4.6218 0.0000
Nd 0.0000 7.9177 0.0000
Nd 4.9540 0.6629 3.1768
Nd 3.0511 3.9588 3.1768
Nd 4.9540 2.8602 6.2278
Nd 3.0816 7.4996 4.3835
Nd 8.0356 1.0810 1.2068
Nd 4.9540 6.4186 1.2068
Nd 6.8569 3.9588 3.1768
Ni 0.0000 3.2370 1.5716
Ni -2.1507 6.9621 1.5716
Ni 2.8033 1.6185 4.7483
Ni 2.1507 6.9621 1.5716
Ni 7.1047 1.6185 4.7483
Ni 4.9540 5.3436 4.7483
```

The 12 most intense peaks (2θ = 15–90°), low angle first:
| two_theta | d [Å] | I (rel.) |
| --- | --- | --- |
| 27.50 | 3.243 | 19 |
| 29.99 | 2.979 | 44 |
| 30.96 | 2.889 | 100 |
| 31.27 | 2.860 | 14 |
| 34.39 | 2.608 | 42 |
| 35.15 | 2.553 | 40 |
| 36.27 | 2.477 | 33 |
| 47.90 | 1.899 | 10 |
| 53.86 | 1.702 | 26 |
| 54.87 | 1.673 | 25 |
| 55.46 | 1.657 | 23 |
| 55.66 | 1.651 | 16 |



No. 2
Computed X-ray powder pattern
Compound: Nd2Ni12P7
Radiation: Cu Kα
Structure: a cell relaxed with PBE

Crystal structure
```
21
Lattice="9.0675 0.0000 0.0000 -4.5337 7.8527 0.0000 0.0000 0.0000 3.7342" Properties=species:S:1:pos:R:3 pbc="T T T"
Nd 0.0000 0.0000 0.0000
Nd 0.0000 5.2351 1.8671
Ni -3.0385 5.9647 1.8671
Ni -0.8579 3.0759 0.0000
Ni 0.8874 2.2389 1.8671
Ni -1.4410 7.0577 0.0000
Ni 2.6308 1.6370 0.0000
Ni 4.4259 0.9412 1.8671
Ni 3.1359 3.5492 1.8671
Ni 2.2989 5.5717 0.0000
Ni 2.1511 7.5018 1.8671
Ni 6.3344 1.4599 0.0000
Ni 4.6360 4.7558 0.0000
Ni 6.0395 3.3624 1.8671
P -2.2223 4.9218 0.0000
P 2.2517 0.2852 1.8671
P 1.3825 3.4672 0.0000
P 0.8398 7.3164 0.0000
P 4.5338 2.6176 0.0000
P 3.6549 5.7601 1.8671
P 7.6947 1.8074 1.8671
```

The 12 most intense peaks (2θ = 15–90°), low angle first:
| two_theta | d [Å] | I (rel.) |
| --- | --- | --- |
| 26.43 | 3.372 | 10 |
| 30.11 | 2.968 | 10 |
| 34.26 | 2.618 | 9 |
| 38.76 | 2.323 | 100 |
| 41.46 | 2.178 | 9 |
| 46.24 | 1.963 | 10 |
| 48.38 | 1.881 | 10 |
| 48.77 | 1.867 | 19 |
| 53.47 | 1.714 | 14 |
| 56.73 | 1.623 | 11 |
| 75.27 | 1.262 | 10 |
| 84.38 | 1.148 | 10 |



No. 3
Computed X-ray powder pattern
Compound: PrNd2Si4Ni2Pd2
Radiation: Cu Kα
Structure: a cell relaxed with PBE

Crystal structure
```
11
Lattice="-2.0451 2.0951 12.0661 2.0451 -2.0951 12.0661 2.0451 2.0951 -12.0661" Properties=species:S:1:pos:R:3 pbc="T T T"
Pr 0.0000 0.0000 0.0000
Nd 2.0451 0.0000 8.3844
Nd 0.0000 2.0951 3.6818
Si 2.0451 0.0000 4.9157
Si 0.0000 0.0000 10.8739
Si 0.0000 0.0000 13.2583
Si 0.0000 2.0951 7.1504
Ni 0.0000 0.0000 6.0161
Ni 0.0000 0.0000 18.1161
Pd 2.0451 0.0000 2.4389
Pd 0.0000 2.0951 9.6272
```

The 12 most intense peaks (2θ = 15–90°), low angle first:
| two_theta | d [Å] | I (rel.) |
| --- | --- | --- |
| 23.95 | 3.716 | 15 |
| 28.61 | 3.120 | 14 |
| 34.04 | 2.634 | 100 |
| 39.92 | 2.259 | 20 |
| 43.18 | 2.095 | 17 |
| 44.29 | 2.045 | 16 |
| 54.25 | 1.691 | 10 |
| 56.07 | 1.640 | 12 |
| 61.13 | 1.516 | 11 |
| 63.58 | 1.463 | 11 |
| 70.20 | 1.341 | 10 |
| 74.91 | 1.268 | 10 |



No. 4
Computed X-ray powder pattern
Compound: Pr2NdNi3Pt6
Radiation: Cu Kα
Structure: a cell relaxed with PBE

Crystal structure
```
12
Lattice="2.7261 1.5739 8.4318 -2.7261 1.5739 8.4318 0.0000 -3.1479 8.4318" Properties=species:S:1:pos:R:3 pbc="T T T"
Pr 0.0000 0.0000 3.5462
Pr 0.0000 0.0000 21.7492
Nd 0.0000 0.0000 0.0000
Ni 0.0000 0.0000 8.4205
Ni 0.0000 0.0000 12.6477
Ni 0.0000 0.0000 16.8749
Pt -1.3648 -0.7880 10.4999
Pt 0.0000 -1.5759 14.7955
Pt -1.3648 0.7880 14.7955
Pt 1.3648 -0.7880 10.4999
Pt 0.0000 1.5759 10.4999
Pt 1.3648 0.7880 14.7955
```

The 12 most intense peaks (2θ = 15–90°), low angle first:
| two_theta | d [Å] | I (rel.) |
| --- | --- | --- |
| 21.07 | 4.216 | 44 |
| 31.17 | 2.870 | 50 |
| 34.13 | 2.627 | 31 |
| 38.29 | 2.351 | 100 |
| 38.80 | 2.321 | 32 |
| 39.36 | 2.289 | 99 |
| 40.80 | 2.212 | 25 |
| 42.24 | 2.139 | 58 |
| 42.90 | 2.108 | 32 |
| 61.78 | 1.502 | 26 |
| 68.89 | 1.363 | 39 |
| 84.68 | 1.145 | 27 |



No. 5
Computed X-ray powder pattern
Compound: NdSm2Ni3Pt6
Radiation: Cu Kα
Structure: a cell relaxed with PBE

Crystal structure
```
12
Lattice="2.7206 1.5707 8.3731 -2.7206 1.5707 8.3731 0.0000 -3.1415 8.3731" Properties=species:S:1:pos:R:3 pbc="T T T"
Nd 0.0000 0.0000 0.0000
Sm 0.0000 0.0000 3.5265
Sm 0.0000 0.0000 21.5927
Ni 0.0000 0.0000 8.3644
Ni 0.0000 0.0000 12.5596
Ni 0.0000 0.0000 16.7549
Pt -1.3642 -0.7876 10.4574
Pt 0.0000 -1.5752 14.6618
Pt -1.3642 0.7876 14.6618
Pt 1.3642 -0.7876 10.4574
Pt 0.0000 1.5752 10.4574
Pt 1.3642 0.7876 14.6618
```

The 12 most intense peaks (2θ = 15–90°), low angle first:
| two_theta | d [Å] | I (rel.) |
| --- | --- | --- |
| 21.22 | 4.187 | 42 |
| 31.33 | 2.855 | 49 |
| 34.32 | 2.613 | 29 |
| 38.37 | 2.346 | 99 |
| 38.89 | 2.316 | 29 |
| 39.50 | 2.281 | 100 |
| 40.91 | 2.206 | 28 |
| 42.37 | 2.133 | 59 |
| 43.22 | 2.093 | 31 |
| 63.23 | 1.471 | 25 |
| 69.04 | 1.360 | 39 |
| 85.04 | 1.141 | 27 |



No. 6
Computed X-ray powder pattern
Compound: Nd2SmNi2Pt7
Radiation: Cu Kα
Structure: a cell relaxed with PBE

Crystal structure
```
12
Lattice="2.7196 1.5701 8.6092 -2.7196 1.5701 8.6092 0.0000 -3.1403 8.6092" Properties=species:S:1:pos:R:3 pbc="T T T"
Nd 0.0000 0.0000 3.5855
Nd 0.0000 0.0000 22.2420
Sm 0.0000 0.0000 0.0000
Ni 0.0000 0.0000 8.6054
Ni 0.0000 0.0000 17.2221
Pt -1.3717 -0.7919 10.6564
Pt 0.0000 -1.5839 15.1711
Pt -1.3717 0.7919 15.1711
Pt 0.0000 0.0000 12.9138
Pt 1.3717 -0.7919 10.6564
Pt 0.0000 1.5838 10.6564
Pt 1.3717 0.7919 15.1711
```

The 12 most intense peaks (2θ = 15–90°), low angle first:
| two_theta | d [Å] | I (rel.) |
| --- | --- | --- |
| 30.78 | 2.905 | 28 |
| 33.66 | 2.663 | 44 |
| 38.38 | 2.345 | 64 |
| 38.87 | 2.317 | 37 |
| 39.18 | 2.299 | 100 |
| 41.98 | 2.152 | 28 |
| 42.17 | 2.143 | 52 |
| 45.70 | 1.985 | 27 |
| 63.02 | 1.475 | 25 |
| 64.12 | 1.452 | 25 |
| 69.07 | 1.360 | 35 |
| 84.23 | 1.150 | 23 |



No. 7
Computed X-ray powder pattern
Compound: Nd2SmNi8Pt
Radiation: Cu Kα
Structure: a cell relaxed with PBE

Crystal structure
```
12
Lattice="2.5181 1.4538 8.3468 -2.5181 1.4538 8.3468 0.0000 -2.9077 8.3468" Properties=species:S:1:pos:R:3 pbc="T T T"
Nd 0.0000 0.0000 3.4262
Nd 0.0000 0.0000 21.6143
Sm 0.0000 0.0000 0.0000
Ni -1.2681 -0.7322 10.3077
Ni 0.0000 0.0000 8.3422
Ni 0.0000 -1.4643 14.7328
Ni -1.2681 0.7322 14.7328
Ni 1.2681 -0.7322 10.3077
Ni 0.0000 1.4643 10.3077
Ni 0.0000 0.0000 16.6984
Ni 1.2681 0.7322 14.7328
Pt 0.0000 0.0000 12.5203
```

The 12 most intense peaks (2θ = 15–90°), low angle first:
| two_theta | d [Å] | I (rel.) |
| --- | --- | --- |
| 32.37 | 2.766 | 17 |
| 35.29 | 2.543 | 57 |
| 35.65 | 2.518 | 59 |
| 41.57 | 2.173 | 18 |
| 41.90 | 2.156 | 100 |
| 42.06 | 2.148 | 19 |
| 44.92 | 2.018 | 18 |
| 45.36 | 1.999 | 21 |
| 63.81 | 1.459 | 20 |
| 67.76 | 1.383 | 16 |
| 68.32 | 1.373 | 23 |
| 75.51 | 1.259 | 21 |



No. 8
Computed X-ray powder pattern
Compound: NdSm2Ni8Pt
Radiation: Cu Kα
Structure: a cell relaxed with PBE

Crystal structure
```
12
Lattice="2.5145 1.4517 8.3142 -2.5145 1.4517 8.3142 0.0000 -2.9035 8.3142" Properties=species:S:1:pos:R:3 pbc="T T T"
Nd 0.0000 0.0000 0.0000
Sm 0.0000 0.0000 3.4214
Sm 0.0000 0.0000 21.5210
Ni -1.2687 -0.7325 10.2889
Ni 0.0000 0.0000 8.3113
Ni 0.0000 -1.4650 14.6536
Ni -1.2687 0.7325 14.6536
Ni 1.2687 -0.7325 10.2889
Ni 0.0000 1.4650 10.2889
Ni 0.0000 0.0000 16.6311
Ni 1.2687 0.7325 14.6536
Pt 0.0000 0.0000 12.4712
```

The 12 most intense peaks (2θ = 15–90°), low angle first:
| two_theta | d [Å] | I (rel.) |
| --- | --- | --- |
| 32.47 | 2.758 | 17 |
| 35.41 | 2.535 | 56 |
| 35.71 | 2.514 | 60 |
| 41.63 | 2.169 | 18 |
| 41.99 | 2.152 | 100 |
| 42.12 | 2.145 | 18 |
| 45.08 | 2.011 | 19 |
| 45.45 | 1.996 | 22 |
| 63.96 | 1.456 | 19 |
| 67.98 | 1.379 | 15 |
| 68.46 | 1.371 | 23 |
| 75.64 | 1.257 | 22 |



No. 9
Computed X-ray powder pattern
Compound: Nd2SmNi3Pt6
Radiation: Cu Kα
Structure: a cell relaxed with PBE

Crystal structure
```
12
Lattice="2.7181 1.5693 8.3933 -2.7181 1.5693 8.3933 0.0000 -3.1386 8.3933" Properties=species:S:1:pos:R:3 pbc="T T T"
Nd 0.0000 0.0000 3.5256
Nd 0.0000 0.0000 21.6542
Sm 0.0000 0.0000 0.0000
Ni 0.0000 0.0000 8.3836
Ni 0.0000 0.0000 12.5899
Ni 0.0000 0.0000 16.7962
Pt -1.3621 -0.7864 10.4555
Pt 0.0000 -1.5728 14.7242
Pt -1.3621 0.7864 14.7242
Pt 1.3621 -0.7864 10.4556
Pt 0.0000 1.5728 10.4556
Pt 1.3621 0.7864 14.7243
```

The 12 most intense peaks (2θ = 15–90°), low angle first:
| two_theta | d [Å] | I (rel.) |
| --- | --- | --- |
| 21.17 | 4.197 | 42 |
| 31.29 | 2.858 | 50 |
| 34.27 | 2.617 | 31 |
| 38.41 | 2.344 | 100 |
| 38.92 | 2.314 | 31 |
| 39.50 | 2.281 | 99 |
| 40.93 | 2.205 | 25 |
| 42.39 | 2.133 | 57 |
| 43.11 | 2.098 | 31 |
| 62.05 | 1.496 | 25 |
| 69.12 | 1.359 | 39 |
| 85.04 | 1.141 | 27 |



No. 10
Computed X-ray powder pattern
Compound: Nd3Zn3Ni2Pt
Radiation: Cu Kα
Structure: a cell relaxed with PBE

Crystal structure
```
9
Lattice="7.2436 0.0000 0.0000 -3.6218 6.2732 0.0000 0.0000 0.0000 3.9309" Properties=species:S:1:pos:R:3 pbc="T T T"
Nd -2.1086 3.6522 0.0000
Nd 1.5132 2.6210 0.0000
Nd 4.2172 0.0000 0.0000
Zn -0.8884 1.5387 1.9655
Zn 1.7768 0.0000 1.9655
Zn 2.7334 4.7344 1.9655
Ni 0.0000 4.1821 1.9655
Ni 3.6218 2.0911 1.9655
Pt 0.0000 0.0000 0.0000
```

The 12 most intense peaks (2θ = 15–90°), low angle first:
| two_theta | d [Å] | I (rel.) |
| --- | --- | --- |
| 22.62 | 3.931 | 11 |
| 28.46 | 3.137 | 30 |
| 33.65 | 2.664 | 55 |
| 36.65 | 2.452 | 100 |
| 37.95 | 2.371 | 28 |
| 43.27 | 2.091 | 22 |
| 44.63 | 2.030 | 24 |
| 46.19 | 1.965 | 21 |
| 57.97 | 1.591 | 17 |
| 61.26 | 1.513 | 13 |
| 65.14 | 1.432 | 13 |
| 69.56 | 1.351 | 24 |



No. 11
Computed X-ray powder pattern
Compound: NdNiSb3
Radiation: Cu Kα
Structure: a cell relaxed with PBE

Crystal structure
```
60
Lattice="12.6426 0.0000 0.0000 0.0000 6.2642 0.0000 0.0000 0.0000 18.4698" Properties=species:S:1:pos:R:3 pbc="T T T"
Nd 2.4618 0.3720 4.6175
Nd 2.4618 2.7601 13.8524
Nd 2.5385 3.3045 1.5460
Nd 2.5385 3.3045 7.6889
Nd 2.5385 6.0917 10.7809
Nd 2.5385 6.0917 16.9238
Nd 10.1041 0.1724 1.5460
Nd 10.1041 0.1724 7.6889
Nd 10.1041 2.9597 10.7809
Nd 10.1041 2.9597 16.9238
Nd 10.1809 3.5041 4.6175
Nd 10.1809 5.8922 13.8524
Ni 5.0139 1.5660 0.0000
Ni 5.0139 1.5660 9.2349
Ni 5.0608 4.2170 12.4827
Ni 5.0608 4.2170 15.2220
Ni 5.0608 5.1792 3.2478
Ni 5.0608 5.1792 5.9871
Ni 7.5819 1.0849 12.4827
Ni 7.5819 1.0849 15.2220
Ni 7.5819 2.0472 3.2478
Ni 7.5819 2.0472 5.9871
Ni 7.6288 4.6981 0.0000
Ni 7.6288 4.6981 9.2349
Sb 0.0491 1.5660 0.0000
Sb 0.0491 1.5660 9.2349
Sb 0.0460 4.4124 12.3019
Sb 0.0460 4.4124 15.4028
Sb 0.0460 4.9839 3.0670
Sb 0.0460 4.9839 6.1679
Sb 3.4613 0.1646 1.5536
Sb 3.4613 0.1646 7.6813
Sb 3.4613 2.9675 10.7885
Sb 3.4613 2.9675 16.9162
Sb 3.5116 3.4736 4.6175
Sb 3.5116 5.9227 13.8524
Sb 5.5949 1.1545 4.6175
Sb 5.5949 1.9776 13.8524
Sb 5.9914 3.3919 1.5997
Sb 5.9914 3.3919 7.6352
Sb 5.9914 6.0044 10.8346
Sb 5.9914 6.0044 16.8701
Sb 6.6512 0.2598 1.5997
Sb 6.6512 0.2598 7.6352
Sb 6.6512 2.8723 10.8346
Sb 6.6512 2.8723 16.8701
Sb 7.0477 4.2866 4.6175
Sb 7.0477 5.1097 13.8524
Sb 9.1311 0.3415 4.6175
Sb 9.1311 2.7906 13.8524
Sb 9.1814 3.2967 1.5536
Sb 9.1814 3.2967 7.6813
Sb 9.1814 6.0996 10.7885
Sb 9.1814 6.0996 16.9162
Sb 12.5966 1.2803 12.3019
Sb 12.5966 1.2803 15.4028
Sb 12.5966 1.8518 3.0670
Sb 12.5966 1.8518 6.1679
Sb 12.5936 4.6981 0.0000
Sb 12.5936 4.6981 9.2349
```

The 12 most intense peaks (2θ = 15–90°), low angle first:
| two_theta | d [Å] | I (rel.) |
| --- | --- | --- |
| 28.23 | 3.161 | 46 |
| 28.99 | 3.080 | 29 |
| 29.38 | 3.040 | 23 |
| 29.86 | 2.992 | 34 |
| 31.89 | 2.806 | 69 |
| 32.33 | 2.769 | 71 |
| 34.98 | 2.565 | 100 |
| 35.72 | 2.514 | 34 |
| 36.12 | 2.487 | 68 |
| 41.11 | 2.195 | 81 |
| 50.62 | 1.803 | 31 |
| 55.37 | 1.659 | 33 |